The following is a calculated powder diffractogram of Fe6O11F. It was derived from a DFT-relaxed cell (GGA+U, Alexandria), using Cu Ka.

Principal peaks in the range 2θ = 15–90°, sorted by position:
2θ/deg, intensity, (hkl)
27.10, 96, 0 0 2
27.74, 94, 0 2 0
35.84, 100, 3 1 1
39.17, 21, 0 2 2
53.77, 57, 3 1 3
54.50, 55, 3 3 1
55.89, 16, 0 0 4
57.31, 15, 0 4 0
62.14, 15, 6 0 0
68.83, 39, 3 3 3

Cell and atoms:
a = 8.962 Å, b = 6.431 Å, c = 6.581 Å
α = 90.00°, β = 90.00°, γ = 90.00°
Space group Amm2 (No. 38)
Inequivalent atoms, fractional coordinates:
Fe 0.000 0.000 0.000
Fe 0.168 0.000 0.501
Fe 0.327 0.000 0.005
Fe 0.500 0.000 0.479
O 0.000 0.191 0.502
O 0.161 0.000 0.194
O 0.163 0.000 0.810
O 0.333 0.192 0.496
O 0.500 0.000 0.181
F 0.500 0.000 0.797